1.
The following is a simulated powder XRD pattern of MgAs3N. It was derived from a structure optimized by DFT (PBE), using Cu Kα X-rays.
Peak positions follow from Bragg's law for the DFT cell and can differ from measured ones.

Main lines, low angle first (10° ≤ 2θ ≤ 90°):
2θ (°), I_rel
20.13, 23
28.61, 6
35.24, 100
40.91, 60
46.00, 10
50.69, 3
59.24, 39
63.23, 4
70.84, 39
74.50, 13
78.11, 2
88.69, 6

Structural model:
a = 4.4118 Å, b = 4.4118 Å, c = 4.4118 Å
α = 90.00°, β = 90.00°, γ = 90.00°
Fractional coordinates of all 5 atoms:
Mg 0.0000 0.0000 0.0000
As 0.0000 0.5000 0.5000
As 0.5000 0.0000 0.5000
As 0.5000 0.5000 0.0000
N 0.5000 0.5000 0.5000

=====

2.
The following is a simulated powder XRD pattern of Ti2MnPd7. It was derived from a structure optimized by DFT (PBE), using Cu Kα X-rays.
Peak positions follow from Bragg's law for the DFT cell and can differ from measured ones.

Main lines, low angle first (10° ≤ 2θ ≤ 90°):
2θ (°), I_rel
20.61, 27
24.64, 26
32.10, 100
34.25, 31
34.47, 30
39.04, 48
41.93, 88
44.10, 48
45.51, 64
46.88, 49
73.86, 32
82.38, 26

Structural model:
a = 8.6331 Å, b = 8.6331 Å, c = 2.7889 Å
α = 90.00°, β = 90.00°, γ = 123.18°
Fractional coordinates of all 10 atoms:
Ti 0.1658 0.8342 0.0000
Ti 0.8342 0.1658 0.0000
Mn 0.5000 0.5000 0.5000
Pd 0.0000 0.0000 0.0000
Pd 0.1794 0.3728 0.0000
Pd 0.3053 0.6947 0.5000
Pd 0.3728 0.1794 0.0000
Pd 0.6272 0.8206 0.0000
Pd 0.6947 0.3053 0.5000
Pd 0.8206 0.6272 0.0000

=====

- Which formula does entry 2 have?
  Ti2MnPd7